1.
Theoretical powder diffraction line list of AlTlI4 for Cu Kα, 1.54184 Å, from a crystal structure in the Materials Project, relaxed with GGA-PBE.
Neutral-atom scattering factors, no anomalous dispersion.

```
AlTlI4
1.0
8.4749 0.0000 0.0000
0.0000 8.1300 0.0000
-1.5905 0.0000 16.4651
Al Tl I
4 4 16
Cartesian
1.8568 1.1586 2.3048
1.0615 2.9064 10.5374
5.8229 5.2236 5.9277
5.0277 6.9714 14.1602
0.7829 0.0120 14.2013
1.5782 4.0530 5.9688
5.3062 4.0770 10.4963
6.1015 8.1181 2.2637
-0.8806 1.2638 10.8692
-0.0854 2.8012 2.6367
0.2533 5.1951 9.7274
1.0485 6.9999 1.4949
3.0971 0.9066 4.5314
2.6887 1.9564 8.7705
3.4839 2.1086 0.5379
2.3019 3.1584 12.7639
4.5825 4.9716 3.7012
3.4005 6.0214 15.9271
4.1958 6.1736 7.6946
3.7873 7.2234 11.9337
5.8359 1.1301 14.9701
6.6312 2.9349 6.7376
6.9698 5.3288 13.8284
7.7650 6.8663 5.5958
```

Largest 10 diffraction maxima, low angle first, 5 to 70 degrees two-theta:
Position (°2θ)	d_spacing	intensity
12.1	7.290	78
23.8	3.744	47
23.9	3.720	46
25.0	3.567	81
25.1	3.543	74
25.6	3.478	76
27.1	3.295	83
27.3	3.266	46
27.7	3.224	100
34.7	2.586	50

=====

2.
Theoretical powder diffraction line list of DyMgSe3 for Cu Kα, 1.54184 Å, from a crystal structure in the Materials Project, relaxed with GGA-PBE.
Neutral-atom scattering factors, no anomalous dispersion.

```
DyMgSe3
1.0
3.6462 -6.4664 0.0000
3.6462 6.4664 0.0000
-3.1262 0.0000 6.2311
Dy Mg Se
2 2 6
Cartesian
0.4258 0.0000 1.9773
3.7403 0.0000 4.2538
3.6462 2.0948 0.0000
3.6462 -2.0948 0.0000
2.6438 4.2612 1.2646
1.5223 4.2612 4.9665
1.0309 0.0000 4.6350
3.1353 0.0000 1.5961
2.6438 -4.2612 1.2646
1.5223 -4.2612 4.9665
```

Largest 10 diffraction maxima, low angle first, 5 to 70 degrees two-theta:
Position (°2θ)	d_spacing	intensity
13.7	6.466	100
19.8	4.487	50
24.8	3.596	87
26.5	3.364	54
28.2	3.168	72
28.7	3.116	77
31.7	2.826	56
41.9	2.155	57
42.9	2.110	47
44.0	2.058	83

=====

3.
Theoretical powder diffraction line list of KLaGeSe4 for Cu Kα, 1.54184 Å, from a crystal structure in the Materials Project, relaxed with GGA-PBE.
Neutral-atom scattering factors, no anomalous dispersion.

```
KLaGeSe4
1.0
6.9997 0.0000 0.0000
0.0000 7.1258 0.0000
-2.7875 0.0000 8.7687
K La Ge Se
2 2 2 8
Cartesian
0.4765 0.0000 3.8287
3.7356 3.5629 4.9401
-0.7684 0.0804 8.2940
4.9806 3.6432 0.4747
1.4684 3.4152 1.6032
2.7438 6.9781 7.1655
-2.0079 3.0361 8.1148
-0.3923 3.3902 3.0411
1.1524 5.2460 6.7473
2.8086 5.3670 1.8975
1.4036 1.8041 6.8712
3.0597 1.6831 2.0214
6.2201 6.5990 0.6539
4.6045 6.9531 5.7276
```

Largest 10 diffraction maxima, low angle first, 5 to 70 degrees two-theta:
Position (°2θ)	d_spacing	intensity
10.1	8.769	100
16.0	5.530	37
27.5	3.241	30
28.3	3.155	38
28.4	3.141	49
30.3	2.950	50
31.0	2.885	41
32.6	2.747	29
36.9	2.435	34
39.2	2.299	27

=====

4.
Theoretical powder diffraction line list of BaCaNdSbO6 for Cu Kα, 1.54184 Å, from a crystal structure in the Materials Project, relaxed with GGA-PBE.
Neutral-atom scattering factors, no anomalous dispersion.

```
BaCaNdSbO6
1.0
5.9632 0.0000 0.0000
0.0029 6.0251 0.0000
0.0949 0.0487 8.5169
Ba Ca Nd Sb O
2 2 2 2 12
Cartesian
0.0604 0.1929 2.1291
6.0007 5.8809 6.3878
2.9539 3.2507 2.0888
3.1072 2.8231 6.4281
0.0015 3.0126 0.0000
3.0291 0.0243 4.2584
0.0489 3.0369 4.2584
2.9816 0.0000 0.0000
0.7020 3.0269 6.2058
1.2060 4.6424 3.9412
1.3676 4.8609 0.2089
1.6548 1.8975 3.7281
1.9205 1.6886 0.4732
2.6968 0.4007 6.5584
3.3643 5.6731 1.9585
4.1405 4.3852 8.0437
4.4063 4.1763 4.7888
4.6935 1.2129 8.3080
4.8551 1.4314 4.5757
5.3591 3.0469 2.3111
```

Largest 10 diffraction maxima, low angle first, 5 to 70 degrees two-theta:
Position (°2θ)	d_spacing	intensity
20.9	4.248	21
29.6	3.017	100
29.7	3.010	54
29.8	2.998	54
29.9	2.984	97
42.5	2.129	28
42.7	2.119	54
52.5	1.743	34
52.8	1.733	44
53.3	1.719	24

=====

5.
Theoretical powder diffraction line list of Bi3Pd8 for Cu Kα, 1.54184 Å, from a crystal structure in the Materials Project, relaxed with GGA-PBE.
Neutral-atom scattering factors, no anomalous dispersion.

```
Bi3Pd8
1.0
3.9900 2.3037 14.5802
-3.9900 2.3037 14.5802
0.0000 -4.6073 14.5802
Bi Pd
12 32
Cartesian
0.0000 0.0000 0.0000
-2.6698 -0.1570 17.9591
0.0000 0.0000 6.4283
-1.3081 -2.4560 25.2714
0.0000 0.0000 14.9367
1.4708 -2.2337 17.9592
0.0000 0.0000 21.8160
-1.4729 2.3608 25.2714
0.0000 0.0000 28.2814
1.1990 2.3906 17.9592
0.0000 0.0000 36.7441
2.7810 0.0952 25.2714
-1.0821 -2.2866 13.5504
0.0000 0.0000 2.8585
-1.1345 -2.1524 16.4848
-1.1570 -2.5708 19.4355
-2.5625 -0.2246 20.8379
-2.7451 -0.3060 23.7961
-1.1508 -2.4325 22.3736
0.0000 0.0000 9.2537
0.0000 0.0000 12.1857
-1.4392 2.0804 13.5504
-2.3380 -0.0115 26.7123
-1.2968 2.0587 16.4848
-2.4627 -0.0558 29.6337
-1.6479 2.2874 19.4355
0.0000 0.0000 18.9528
-1.5312 2.2128 22.3736
1.4757 -2.1069 20.8379
0.0000 0.0000 24.6398
1.6376 -2.2243 23.7961
1.1790 -2.0190 26.7123
2.5213 0.2061 13.5504
1.2797 -2.1049 29.6337
2.4313 0.0937 16.4848
0.0000 0.0000 31.0896
0.0000 0.0000 33.9964
1.0867 2.3315 20.8379
2.8049 0.2834 19.4355
2.6820 0.2197 22.3735
1.1075 2.5303 23.7961
1.1591 2.0305 26.7123
0.0000 0.0000 40.8489
1.1831 2.1607 29.6337
```

Largest 10 diffraction maxima, low angle first, 5 to 70 degrees two-theta:
Position (°2θ)	d_spacing	intensity
25.4	3.500	17
31.4	2.847	10
34.4	2.607	8
38.2	2.354	71
38.9	2.317	18
39.1	2.304	100
43.6	2.075	8
45.2	2.004	15
55.8	1.647	19
66.1	1.414	11